For Dy7Tc2Te2, a structure optimized by DFT (PBE) gives the simulated powder diffractogram in this record (λ = 1.5418 Å (Cu Kα)).
No peak broadening, texture or thermal motion is included.

Principal peaks in the range 2θ = 10–90°, low angle first:
2theta, I_rel
30.0, 50
33.2, 100
33.5, 63
33.9, 21
34.1, 57
38.4, 23
45.3, 41
57.5, 27

Structural model:
a = 9.411 Å, b = 9.411 Å, c = 9.411 Å
α = 155.46°, β = 65.23°, γ = 120.62°
Sites, in units of the cell vectors:
Dy (0.000, 0.000, 0.000)
Dy (0.286, 0.419, 0.867)
Dy (0.309, 0.626, 0.683)
Dy (0.552, 0.419, 0.133)
Dy (0.605, 0.257, 0.348)
Dy (0.909, 0.257, 0.652)
Dy (0.943, 0.626, 0.317)
Tc (0.173, 0.935, 0.238)
Tc (0.697, 0.935, 0.762)
Te (0.264, 0.764, 0.500)
Te (0.668, 0.668, 0.000)